For Pm4GaAg2Hg, a crystal structure in Alexandria, relaxed with GGA-PBE gives the calculated XRD peak list in this record (Cu Kα (weighted mean of Kα1 and Kα2)).

Atomic structure:
```
8
Lattice="2.6398 1.5241 8.6613 -2.6398 1.5241 8.6613 0.0000 -3.0482 8.6613" Properties=species:S:1:pos:R:3 pbc="T T T"
Pm 0.0000 0.0000 3.1758
Pm 0.0000 0.0000 9.6795
Pm 0.0000 0.0000 16.3045
Pm 0.0000 0.0000 22.8082
Ga 0.0000 0.0000 0.0000
Ag 0.0000 0.0000 6.4600
Ag 0.0000 0.0000 19.5239
Hg 0.0000 0.0000 12.9920
```

The 8 most intense peaks (2θ from 10° to 80°), sorted by position:
2θ (°), I (rel.)
10.2, 5
33.9, 100
34.0, 100
48.7, 36
60.5, 18
60.7, 55
71.2, 11
71.5, 11


For SrGaAg2Hg, a crystal structure in Alexandria, relaxed with GGA-PBE gives the calculated XRD peak list in this record (Cu Kα (weighted mean of Kα1 and Kα2)).

Atomic structure:
```
10
Lattice="4.3768 0.0000 0.0000 0.0000 4.4325 0.0000 0.0000 0.0000 12.5945" Properties=species:S:1:pos:R:3 pbc="T T T"
Sr 0.0000 0.0000 0.0000
Sr 2.1884 2.2163 6.2973
Ga 0.0000 2.2163 9.2732
Ga 2.1884 0.0000 2.9759
Ag 0.0000 0.0000 7.6711
Ag 0.0000 2.2163 3.0800
Ag 2.1884 0.0000 9.3772
Ag 2.1884 2.2163 1.3738
Hg 0.0000 0.0000 4.8647
Hg 2.1884 2.2163 11.1620
```

The 8 most intense peaks (2θ from 10° to 80°), sorted by position:
2θ (°), I (rel.)
21.5, 35
29.3, 36
29.5, 34
32.1, 95
40.7, 100
41.2, 68
41.4, 27
59.4, 42


For Ga2AgHgTe4, a crystal structure in Alexandria, relaxed with GGA-PBE gives the calculated XRD peak list in this record (Cu Kα (weighted mean of Kα1 and Kα2)).

Atomic structure:
```
8
Lattice="0.0000 4.7159 6.3440 4.4952 0.0000 6.3440 4.4952 4.7159 0.0000" Properties=species:S:1:pos:R:3 pbc="T T T"
Ga 2.2476 2.3580 0.0000
Ga 2.2476 2.3580 6.3440
Ag 4.4952 4.7159 3.1963
Hg 4.4952 4.7159 9.5460
Te 6.6974 4.7159 4.9425
Te 4.4952 2.3161 7.9503
Te 2.2930 4.7159 4.9425
Te 4.4952 7.1157 7.9503
```

The 8 most intense peaks (2θ from 10° to 80°), sorted by position:
2θ (°), I (rel.)
23.5, 92
24.3, 100
38.2, 28
39.7, 99
40.1, 25
45.7, 36
47.1, 48
70.0, 18